Starting from a crystal structure in the Materials Project, relaxed with GGA-PBE, the X-ray diffraction stick pattern of Ag2S was simulated for Cu Kα X-rays.
Peak positions follow from Bragg's law for the DFT cell and can differ from measured ones.

Structure:
```
Ag2S
1.0
4.3350 0.0000 0.0000
0.0000 5.9182 0.0000
-0.3949 0.0000 5.9074
Ag S
4 2
direct
0.0000 0.0000 0.0000
0.0000 0.0000 0.5000
0.0000 0.5000 0.0000
0.0000 0.5000 0.5000
0.2921 0.2500 0.2631
0.7079 0.7500 0.7369
```

The 12 most intense peaks (10 to 90 degrees two-theta), sorted by position:
Position (°2θ)  intensity
20.5  100
30.2  60
35.6  27
36.8  52
38.0  25
41.8  13
43.3  39
47.4  22
49.3  18
50.6  12
52.4  21
71.3  10


Starting from a crystal structure in the Materials Project, relaxed with GGA-PBE, the X-ray diffraction stick pattern of RbTlF3 was simulated for Cu Kα X-rays.
Peak positions follow from Bragg's law for the DFT cell and can differ from measured ones.

Structure:
```
RbTlF3
1.0
3.3694 -3.3473 0.0000
3.3694 3.3473 0.0000
-0.0475 0.0000 4.7466
Rb Tl F
1 1 3
direct
0.0000 0.0000 0.0000
0.5023 0.5023 0.5060
0.0024 0.5027 0.5069
0.5027 0.0024 0.5069
0.5160 0.5160 0.0067
```

The 12 most intense peaks (10 to 90 degrees two-theta), sorted by position:
Position (°2θ)  intensity
18.7  57
26.5  100
26.6  98
37.9  66
46.6  22
46.9  43
47.0  22
54.5  22
54.9  22
61.6  20
61.9  19
75.0  15